Diffraction record for NaAcCr2O8. The powder diffraction line list is simulated, not measured: it uses DFT lattice parameters and positions (PBE+U) and CuKα.
Intensities are scaled so that the largest is 1000.

Structure:
```
data_NaAcCr2O8
_cell_length_a 5.2619
_cell_length_b 5.2619
_cell_length_c 21.5050
_cell_angle_alpha 90.00
_cell_angle_beta 90.00
_cell_angle_gamma 120.00
_space_group_name_H-M_alt 'R -3'
_space_group_IT_number 148
_space_group_name_Hall '-R 3'
loop_
_atom_site_label
_atom_site_type_symbol
_atom_site_fract_x
_atom_site_fract_y
_atom_site_fract_z
Na1 Na 0.0000 0.0000 0.0000
Ac1 Ac 0.0000 0.0000 0.5000
Cr1 Cr 0.0000 0.0000 0.2441
O1 O 0.0000 0.0000 0.1661
O2 O 0.0056 0.6095 0.9320
```

Principal peaks in the range 2θ = 15–90°, low angle first:
- 19.92°, intensity 562, (1 0 1)
- 25.63°, intensity 1000, (1 0 4)
- 34.08°, intensity 485, (1 1 0)
- 36.38°, intensity 482, (1 1 3)
- 38.90°, intensity 355, (0 1 8)
- 42.63°, intensity 202, (2 -1 6)
- 43.12°, intensity 230, (0 2 4)
- 56.07°, intensity 221, (2 1 4)
- 62.73°, intensity 176, (1 1 12)
- 64.23°, intensity 146, (3 -2 8)